Structure and calculated PXRD pattern of RbLiThI6 (a cell relaxed with GGA-PBE; Cu Ka).

Cell and atoms:
```
RbLiThI6
1.0
7.906 0.000 0.000
-3.953 6.846 0.000
0.000 0.000 16.501
Rb Li Th I
2 2 2 12
direct
0.000 0.000 0.000 Rb
0.000 0.000 0.500 Rb
0.333 0.667 0.250 Li
0.667 0.333 0.750 Li
0.333 0.667 0.750 Th
0.667 0.333 0.250 Th
0.003 0.369 0.143 I
0.003 0.633 0.357 I
0.367 0.369 0.357 I
0.367 0.997 0.143 I
0.369 0.003 0.643 I
0.369 0.367 0.857 I
0.631 0.633 0.143 I
0.631 0.997 0.357 I
0.633 0.003 0.857 I
0.633 0.631 0.643 I
0.997 0.367 0.643 I
0.997 0.631 0.857 I
```

Largest 10 diffraction maxima, by intensity, 2θ from 10° to 80°:
(1 1 2), 2θ 25.0, I 100; (1 1 4), 2θ 31.3, I 72; (3 0 0), 2θ 39.5, I 37; (1 0 2), 2θ 16.8, I 33; (1 0 1), 2θ 14.0, I 33; (2 -1 6), 2θ 39.9, I 29; (0 0 2), 2θ 10.7, I 28; (2 1 2), 2θ 36.4, I 17; (1 0 3), 2θ 20.7, I 15; (4 -2 4), 2θ 51.3, I 15

***

Structure and calculated PXRD pattern of LiRhI4 (a cell relaxed with GGA-PBE; Cu Ka).

Cell and atoms:
```
LiRhI4
1.0
6.674 0.000 0.000
0.000 4.056 0.000
-0.013 0.000 7.149
Li Rh I
1 1 4
direct
0.000 0.000 0.000 Li
0.000 0.500 0.500 Rh
0.220 0.000 0.356 I
0.239 0.500 0.810 I
0.761 0.500 0.190 I
0.780 0.000 0.644 I
```

Largest 10 diffraction maxima, by intensity, 2θ from 10° to 80°:
(1 1 -1), 2θ 28.6, I 100; (1 0 2), 2θ 28.3, I 49; (2 1 -1), 2θ 37.1, I 35; (1 0 0), 2θ 13.3, I 26; (0 1 3), 2θ 44.1, I 26; (0 0 1), 2θ 12.4, I 26; (3 1 1), 2θ 48.4, I 25; (2 0 0), 2θ 26.7, I 22; (2 0 2), 2θ 36.9, I 18; (1 2 2), 2θ 53.8, I 16